1.
Structure and theoretical X-ray powder pattern of LiMnP2H2O8 (a crystal structure in the Materials Project, relaxed with GGA+U; Cu Kα (λ = 1.5418 Å)).
Neutral-atom scattering factors, no anomalous dispersion.

Structural model:
Cell lengths 7.0052, 8.0459, 5.2810 Å; angles 90.00, 90.00, 90.00 degrees
Fractional coordinates of all 28 atoms:
Li 0.0000 0.0000 0.0825
Li 0.5000 0.5000 0.9175
Mn 0.0000 0.5000 0.7657
Mn 0.5000 0.0000 0.2343
P 0.2147 0.6479 0.2691
P 0.2853 0.1479 0.7309
P 0.7147 0.8521 0.7309
P 0.7853 0.3521 0.2691
H 0.0082 0.2103 0.4524
H 0.4918 0.7103 0.5476
H 0.5082 0.2897 0.5476
H 0.9918 0.7897 0.4524
O 0.0509 0.7845 0.2727
O 0.0848 0.2261 0.7245
O 0.1916 0.5391 0.5071
O 0.1998 0.5473 0.0192
O 0.3002 0.0473 0.9808
O 0.3084 0.0391 0.4929
O 0.4152 0.7261 0.2755
O 0.4491 0.2845 0.7273
O 0.5509 0.7155 0.7273
O 0.5848 0.2739 0.2755
O 0.6916 0.9609 0.4929
O 0.6998 0.9527 0.9808
O 0.8002 0.4527 0.0192
O 0.8084 0.4609 0.5071
O 0.9152 0.7739 0.7245
O 0.9491 0.2155 0.2727

Main lines, in order of rising 2θ (2θ = 10–90°):
16.78 deg, rel. 94, (1 1 0)
23.82 deg, rel. 100, (1 1 1)
25.53 deg, rel. 60, (1 2 0)
30.72 deg, rel. 29, (1 2 1)
32.63 deg, rel. 66, (2 1 1)
33.95 deg, rel. 19, (0 0 2)
35.85 deg, rel. 21, (1 3 0)
37.62 deg, rel. 27, (0 3 1)
42.90 deg, rel. 13, (2 0 2)
50.23 deg, rel. 15, (1 4 1)
63.49 deg, rel. 18, (3 3 2)
63.97 deg, rel. 17, (2 4 2)


2.
Structure and theoretical X-ray powder pattern of Ca2MnAl2Si3HO13 (a crystal structure in the Materials Project, relaxed with GGA+U; Cu Kα (λ = 1.5418 Å)).
Neutral-atom scattering factors, no anomalous dispersion.

Structural model:
Cell lengths 8.9456, 5.7630, 10.2476 Å; angles 90.00, 115.55, 90.00 degrees
Fractional coordinates of all 44 atoms:
Ca 0.0973 0.2500 0.4274
Ca 0.2538 0.2500 0.1532
Ca 0.7462 0.7500 0.8468
Ca 0.9027 0.7500 0.5726
Mn 0.2039 0.2500 0.7792
Mn 0.7961 0.7500 0.2208
Al 0.5000 0.0000 0.0000
Al 0.5000 0.0000 0.5000
Al 0.5000 0.5000 0.0000
Al 0.5000 0.5000 0.5000
Si 0.1610 0.7500 0.9548
Si 0.1846 0.7500 0.2739
Si 0.3134 0.7500 0.6803
Si 0.6866 0.2500 0.3197
Si 0.8154 0.2500 0.7261
Si 0.8390 0.2500 0.0452
H 0.4408 0.2500 0.6698
H 0.5592 0.7500 0.3302
O 0.0118 0.2500 0.1846
O 0.0304 0.7500 0.3170
O 0.1145 0.7500 0.0954
O 0.1919 0.5219 0.6417
O 0.1919 0.9781 0.6417
O 0.2706 0.5098 0.9680
O 0.2706 0.9902 0.9680
O 0.2978 0.5173 0.3353
O 0.2978 0.9827 0.3353
O 0.4120 0.2500 0.5657
O 0.4314 0.7500 0.5918
O 0.4407 0.2500 0.8689
O 0.4552 0.7500 0.8550
O 0.5448 0.2500 0.1450
O 0.5593 0.7500 0.1311
O 0.5686 0.2500 0.4082
O 0.5880 0.7500 0.4343
O 0.7022 0.0173 0.6647
O 0.7022 0.4827 0.6647
O 0.7294 0.0098 0.0320
O 0.7294 0.4902 0.0320
O 0.8081 0.0219 0.3583
O 0.8081 0.4781 0.3583
O 0.8855 0.2500 0.9046
O 0.9696 0.2500 0.6830
O 0.9882 0.7500 0.8154

Main lines, in order of rising 2θ (2θ = 10–90°):
17.51 deg, rel. 25, (1 0 -2)
22.13 deg, rel. 21, (2 0 -2)
25.20 deg, rel. 31, (2 1 -1)
30.45 deg, rel. 100, (1 1 -3)
31.04 deg, rel. 43, (0 2 0)
32.98 deg, rel. 51, (0 1 3)
34.18 deg, rel. 48, (3 1 -1)
36.75 deg, rel. 24, (0 2 2)
37.01 deg, rel. 32, (3 1 -3)
42.17 deg, rel. 21, (2 2 -3)
55.75 deg, rel. 41, (1 0 -6)
64.70 deg, rel. 25, (0 4 0)


Repeat the second record exactly.
Structure and theoretical X-ray powder pattern of Ca2MnAl2Si3HO13 (a crystal structure in the Materials Project, relaxed with GGA+U; Cu Kα (λ = 1.5418 Å)).
Neutral-atom scattering factors, no anomalous dispersion.

Structural model:
Cell lengths 8.9456, 5.7630, 10.2476 Å; angles 90.00, 115.55, 90.00 degrees
Fractional coordinates of all 44 atoms:
Ca 0.0973 0.2500 0.4274
Ca 0.2538 0.2500 0.1532
Ca 0.7462 0.7500 0.8468
Ca 0.9027 0.7500 0.5726
Mn 0.2039 0.2500 0.7792
Mn 0.7961 0.7500 0.2208
Al 0.5000 0.0000 0.0000
Al 0.5000 0.0000 0.5000
Al 0.5000 0.5000 0.0000
Al 0.5000 0.5000 0.5000
Si 0.1610 0.7500 0.9548
Si 0.1846 0.7500 0.2739
Si 0.3134 0.7500 0.6803
Si 0.6866 0.2500 0.3197
Si 0.8154 0.2500 0.7261
Si 0.8390 0.2500 0.0452
H 0.4408 0.2500 0.6698
H 0.5592 0.7500 0.3302
O 0.0118 0.2500 0.1846
O 0.0304 0.7500 0.3170
O 0.1145 0.7500 0.0954
O 0.1919 0.5219 0.6417
O 0.1919 0.9781 0.6417
O 0.2706 0.5098 0.9680
O 0.2706 0.9902 0.9680
O 0.2978 0.5173 0.3353
O 0.2978 0.9827 0.3353
O 0.4120 0.2500 0.5657
O 0.4314 0.7500 0.5918
O 0.4407 0.2500 0.8689
O 0.4552 0.7500 0.8550
O 0.5448 0.2500 0.1450
O 0.5593 0.7500 0.1311
O 0.5686 0.2500 0.4082
O 0.5880 0.7500 0.4343
O 0.7022 0.0173 0.6647
O 0.7022 0.4827 0.6647
O 0.7294 0.0098 0.0320
O 0.7294 0.4902 0.0320
O 0.8081 0.0219 0.3583
O 0.8081 0.4781 0.3583
O 0.8855 0.2500 0.9046
O 0.9696 0.2500 0.6830
O 0.9882 0.7500 0.8154

Main lines, in order of rising 2θ (2θ = 10–90°):
17.51 deg, rel. 25, (1 0 -2)
22.13 deg, rel. 21, (2 0 -2)
25.20 deg, rel. 31, (2 1 -1)
30.45 deg, rel. 100, (1 1 -3)
31.04 deg, rel. 43, (0 2 0)
32.98 deg, rel. 51, (0 1 3)
34.18 deg, rel. 48, (3 1 -1)
36.75 deg, rel. 24, (0 2 2)
37.01 deg, rel. 32, (3 1 -3)
42.17 deg, rel. 21, (2 2 -3)
55.75 deg, rel. 41, (1 0 -6)
64.70 deg, rel. 25, (0 4 0)


> Which formula does entry 2 have?

Ca2MnAl2Si3HO13